[1]
Computed XRD peak list
Compound: ScBeTl2
Radiation: CuKα
Structure: a cell relaxed with GGA-PBE
Kinematic intensities with the Lorentz-polarization factor, no thermal factor.

Structural model:
abc: 3.3487 4.3403 6.1193
angles: 90.00 99.06 90.00
Space group Pm (No. 6)
Symmetry-distinct sites (fractional):
Sc1 0.0000 0.0000 0.0000 [1 per cell]
Be1 0.4660 0.5000 0.8328 [1 per cell]
Tl1 0.3232 0.0000 0.5668 [1 per cell]
Tl2 0.5923 0.5000 0.2584 [1 per cell]

The 12 most intense peaks (10° ≤ 2θ ≤ 80°), in order of rising 2θ:
2θ (°)  I/Imax  (hkl)
14.66  61  0 0 1
25.26  100  0 1 1
26.96  24  1 0 0
32.86  50  1 0 1
34.08  50  1 1 0
35.47  73  1 1 -1
36.22  75  0 1 2
37.01  33  1 0 -2
41.62  30  0 2 0
54.01  25  1 2 1
56.89  19  1 2 -2
61.37  19  1 1 3



[2]
Computed XRD peak list
Compound: CeCdInBi
Radiation: CuKα
Structure: a cell relaxed with GGA-PBE
Kinematic intensities with the Lorentz-polarization factor, no thermal factor.

Structural model:
abc: 4.5579 4.7029 5.0587
angles: 90.00 90.00 90.00
Space group Pmmm (No. 47)
Symmetry-distinct sites (fractional):
Ce1 0.0000 0.0000 0.0000 [1 per cell]
Cd1 0.0000 0.5000 0.5000 [1 per cell]
In1 0.5000 0.0000 0.5000 [1 per cell]
Bi1 0.5000 0.5000 0.0000 [1 per cell]

The 12 most intense peaks (10° ≤ 2θ ≤ 80°), in order of rising 2θ:
2θ (°)  I/Imax  (hkl)
17.53  4  0 0 1
32.59  100  1 1 1
35.49  20  0 0 2
38.28  16  0 2 0
39.54  15  2 0 0
53.18  12  0 2 2
54.17  12  2 0 2
56.21  11  2 2 0
61.90  16  1 1 3
65.63  13  1 3 1
67.37  12  3 1 1
68.26  12  2 2 2



[3]
Computed XRD peak list
Compound: Sc4SiBiC
Radiation: CuKα
Structure: a cell relaxed with GGA-PBE
Kinematic intensities with the Lorentz-polarization factor, no thermal factor.

Structural model:
abc: 6.2548 14.6183 6.2681
angles: 90.00 90.00 90.00
Space group Cmcm (No. 63)
Symmetry-distinct sites (fractional):
Sc1 0.0000 0.0868 0.2500 [4 per cell]
Sc2 0.0000 0.3995 0.2500 [4 per cell]
Sc3 0.2500 0.2500 0.0000 [8 per cell]
Si1 0.0000 0.1139 0.7500 [4 per cell]
Bi1 0.0000 0.3996 0.7500 [4 per cell]
C1 0.0000 0.2452 0.2500 [4 per cell]

The 12 most intense peaks (10° ≤ 2θ ≤ 80°), in order of rising 2θ:
2θ (°)  I/Imax  (hkl)
15.41  75  1 1 0
18.65  67  0 2 1
27.21  43  1 3 1
28.51  57  2 0 0
31.08  49  2 2 0
32.54  27  1 1 2
34.31  32  2 2 1
36.89  32  0 6 0
37.84  100  2 4 0
40.76  64  2 0 2
56.14  35  2 6 2
72.26  29  4 4 2



[4]
Computed XRD peak list
Compound: ZrZn6O6
Radiation: CuKα
Structure: a cell relaxed with GGA-PBE
Kinematic intensities with the Lorentz-polarization factor, no thermal factor.

Structural model:
abc: 5.7637 5.7637 5.7637
angles: 90.00 90.00 90.00
Space group Pm-3 (No. 200)
Symmetry-distinct sites (fractional):
Zr1 0.0000 0.0000 0.0000 [1 per cell]
Zn1 0.0000 0.2543 0.5000 [6 per cell]
O1 0.0000 0.5000 0.2471 [6 per cell]

The 12 most intense peaks (10° ≤ 2θ ≤ 80°), in order of rising 2θ:
2θ (°)  I/Imax  (hkl)
15.37  28  1 0 0
21.81  21  1 1 0
26.79  13  1 1 1
31.03  45  2 0 0
34.81  100  2 1 0
38.25  99  2 1 1
55.21  26  2 2 2
57.67  25  3 0 2
60.06  48  3 2 1
64.69  24  4 0 0
73.48  12  4 2 0
75.60  21  4 2 1